Starting from a DFT-relaxed cell (GGA-PBE, Alexandria), the powder XRD pattern of Pm3Pr3Er was computed for Cu Ka.
Neutral-atom scattering factors, no anomalous dispersion.

Top 10 peaks for 2θ from 10° to 90°, by angle:
2theta  intensity  (hkl)
27.83  24  2 1 0
30.37  25  0 0 2
31.78  100  2 1 1
41.66  16  2 1 2
49.22  20  1 4 0
54.86  21  2 1 3
58.94  23  1 4 2
59.79  16  4 2 1
81.01  14  7 0 1
84.03  8  1 4 4

Cell lengths 9.7952, 9.7952, 5.8855 Å; angles 90.00, 90.00, 120.00 degrees
Space group P6_3/m (No. 176)
Inequivalent atoms, fractional coordinates:
1 Pm 0.0461 0.2384 0.2500 [6 per cell]
2 Pr 0.0949 0.4751 0.7500 [6 per cell]
3 Er 0.3333 0.6667 0.2500 [2 per cell]



Starting from a DFT-relaxed cell (GGA-PBE, Alexandria), the powder XRD pattern of TbSm2DyMg was computed for Cu Ka.
Neutral-atom scattering factors, no anomalous dispersion.

Top 10 peaks for 2θ from 10° to 90°, by angle:
2theta  intensity  (hkl)
17.14  20  0 1 1
24.94  11  0 0 2
30.14  38  2 0 0
30.85  100  1 2 1
31.58  48  1 1 2
34.87  13  2 1 1
49.33  10  2 3 1
53.97  21  3 2 1
54.44  11  3 1 2
69.77  10  1 5 2

Cell lengths 5.9307, 7.5080, 7.1404 Å; angles 90.00, 90.00, 90.00 degrees
Space group Pmma (No. 51)
Inequivalent atoms, fractional coordinates:
1 Tb 0.2500 0.0000 0.1226 [2 per cell]
2 Sm 0.2500 0.2863 0.8074 [4 per cell]
3 Dy 0.2500 0.5000 0.3457 [2 per cell]
4 Mg 0.0000 0.0000 0.5000 [2 per cell]



Starting from a DFT-relaxed cell (GGA-PBE, Alexandria), the powder XRD pattern of ThTl2GaTe4 was computed for Cu Ka.
Neutral-atom scattering factors, no anomalous dispersion.

Top 10 peaks for 2θ from 10° to 90°, by angle:
2theta  intensity  (hkl)
26.87  53  0 0 4
27.42  100  2 2 0
38.24  21  0 4 0
38.77  77  2 2 4
40.09  18  4 0 0
47.35  22  0 4 4
48.92  19  4 0 4
62.88  17  2 2 8
63.73  17  4 4 4
69.47  13  2 6 4

Cell lengths 8.9965, 9.4155, 13.2733 Å; angles 90.00, 90.00, 90.00 degrees
Space group Imma (No. 74)
Inequivalent atoms, fractional coordinates:
1 Th 0.2500 0.2500 0.2500 [4 per cell]
2 Tl 0.0000 0.0000 0.0000 [4 per cell]
3 Tl 0.2500 0.2500 0.7500 [4 per cell]
4 Ga 0.0000 0.0000 0.5000 [4 per cell]
5 Te 0.0000 0.0196 0.2605 [8 per cell]
6 Te 0.2232 0.2500 0.4872 [8 per cell]